1.
NaLuO2: calculated X-ray diffraction stick pattern (Cu Kα (weighted mean of Kα1 and Kα2)), based on DFT lattice parameters and positions (GGA-PBE).
Intensities are scaled so that the largest is 100.

Atomic structure:
```
4
Lattice="1.6665 0.9621 5.5597 -1.6665 0.9621 5.5597 0.0000 -1.9243 5.5597" Properties=species:S:1:pos:R:3 pbc="T T T"
Na 0.0000 0.0000 0.0000
Lu 0.0000 0.0000 8.3395
O 0.0000 0.0000 3.9279
O 0.0000 0.0000 12.7510
```

Top 6 peaks for 10 to 80 degrees two-theta, sorted by position:
2theta	I_rel
15.9	100
31.5	50
32.8	57
37.9	74
54.3	24
55.1	24


2.
NaLuO2: calculated X-ray diffraction stick pattern (Cu Kα (weighted mean of Kα1 and Kα2)), based on DFT lattice parameters and positions (GGA-PBE).
Intensities are scaled so that the largest is 100.

Atomic structure:
```
16
Lattice="3.2872 -6.5024 0.0000 3.2872 6.5024 0.0000 -3.1452 0.0000 4.9000" Properties=species:S:1:pos:R:3 pbc="T T T"
Na 0.9283 5.7764 3.6750
Na 2.5009 4.1543 1.2250
Na 0.9283 -4.1543 3.6750
Na 2.5009 -5.7764 1.2250
Lu 0.9283 2.5115 3.6750
Lu 2.5009 0.8681 1.2250
Lu 0.9283 -0.8681 3.6750
Lu 2.5009 -2.5115 1.2250
O 0.8645 2.4451 1.4322
O -0.5375 0.8266 3.8932
O 1.0351 -0.8266 1.4432
O -0.7082 -2.4451 3.8821
O 4.1374 2.4451 1.0178
O 2.3941 0.8266 3.4568
O 3.9668 -0.8266 1.0068
O 2.5648 -2.4451 3.4678
```

Top 6 peaks for 10 to 80 degrees two-theta, sorted by position:
2theta	I_rel
17.4	100
26.4	47
32.4	32
33.1	58
36.7	58
39.0	72


3.
NaLuO2: calculated X-ray diffraction stick pattern (Cu Kα (weighted mean of Kα1 and Kα2)), based on DFT lattice parameters and positions (GGA-PBE).
Intensities are scaled so that the largest is 100.

Atomic structure:
```
8
Lattice="-2.2669 2.2669 5.0604 2.2669 -2.2669 5.0604 2.2669 2.2669 -5.0604" Properties=species:S:1:pos:R:3 pbc="T T T"
Na 2.2669 1.1334 1.2651
Na 0.0000 1.1334 3.7953
Lu 2.2669 -1.1334 3.7953
Lu 0.0000 3.4003 1.2651
O 2.2669 1.1334 -1.5670
O 0.0000 1.1334 0.9632
O 2.2669 1.1334 4.0972
O 0.0000 1.1334 6.6274
```

Top 6 peaks for 10 to 80 degrees two-theta, sorted by position:
2theta	I_rel
21.5	98
33.1	100
35.5	28
39.8	44
45.6	27
54.3	32


4.
NaLuPd6O8: calculated X-ray diffraction stick pattern (Cu Kα (weighted mean of Kα1 and Kα2)), based on DFT lattice parameters and positions (GGA-PBE).
Intensities are scaled so that the largest is 100.

Atomic structure:
```
16
Lattice="5.8168 0.0000 0.0000 0.0000 5.8168 0.0000 0.0000 0.0000 5.8168" Properties=species:S:1:pos:R:3 pbc="T T T"
Na 0.0000 0.0000 0.0000
Lu 2.9084 2.9084 2.9084
Pd 0.0000 2.9084 1.4622
Pd 0.0000 2.9084 4.3547
Pd 1.4622 0.0000 2.9084
Pd 2.9084 1.4622 0.0000
Pd 2.9084 4.3547 0.0000
Pd 4.3547 0.0000 2.9084
O 1.5339 1.5339 1.5339
O 1.5339 1.5339 4.2829
O 1.5339 4.2829 1.5339
O 1.5339 4.2829 4.2829
O 4.2829 1.5339 1.5339
O 4.2829 1.5339 4.2829
O 4.2829 4.2829 1.5339
O 4.2829 4.2829 4.2829
```

Top 6 peaks for 10 to 80 degrees two-theta, sorted by position:
2theta	I_rel
15.2	23
34.5	100
37.9	64
57.1	24
59.5	34
74.8	20